(1)
For ZnCdTeO, a structure optimized by DFT (GGA-PBE) gives the simulated X-ray diffraction stick pattern in this record (Cu Kα X-rays).
Lines closer than 0.1° are merged.

The 10 most intense peaks (10 to 90 degrees two-theta), by angle:
| d_spacing | two_theta | I_rel | hkl |
| --- | --- | --- | --- |
| 3.422 | 26.04 | 9 | 0 0 4 |
| 2.998 | 29.80 | 100 | 0 1 3 |
| 2.356 | 38.20 | 13 | 2 1 1 |
| 2.281 | 39.50 | 8 | 0 0 6 |
| 2.252 | 40.03 | 9 | 2 0 4 |
| 2.118 | 42.68 | 37 | 2 1 3 |
| 1.991 | 45.56 | 15 | 0 2 0 |
| 1.814 | 50.30 | 10 | 2 0 6 |
| 1.755 | 52.11 | 8 | 0 1 7 |
| 1.657 | 55.44 | 9 | 2 2 0 |

Cell and atoms:
```
data_ZnCdTeO
_symmetry_space_group_name_H-M 'P n m a'
_symmetry_Int_Tables_number 62
_cell_length_a 5.9833
_cell_length_b 3.9817
_cell_length_c 13.6867
_cell_angle_alpha 90.00
_cell_angle_beta 90.00
_cell_angle_gamma 90.00
loop_
_symmetry_equiv_pos_as_xyz
'x,y,z'
'-x,-y,-z'
'-x+1/2,-y,z+1/2'
'x+1/2,y,-z+1/2'
'x+1/2,-y+1/2,-z+1/2'
'-x+1/2,y+1/2,z+1/2'
'-x,y+1/2,-z'
'x,-y+1/2,z'
loop_
_atom_site_label
_atom_site_fract_x
_atom_site_fract_y
_atom_site_fract_z
Zn1 0.1192 0.2500 0.2016
Cd1 0.2413 0.7500 0.4062
Te1 0.2401 0.2500 0.5836
O1 0.2064 0.7500 0.8198
```

=====

(2)
For KNi, a structure optimized by DFT (GGA-PBE) gives the simulated X-ray diffraction stick pattern in this record (Cu Kα X-rays).
Lines closer than 0.1° are merged.

The 10 most intense peaks (10 to 90 degrees two-theta), by angle:
| d_spacing | two_theta | I_rel | hkl |
| --- | --- | --- | --- |
| 6.273 | 14.12 | 100 | 0 0 1 |
| 3.639 | 24.46 | 82 | 0 1 1 |
| 2.745 | 32.63 | 79 | 1 1 1 |
| 2.567 | 34.95 | 51 | 0 1 2 |
| 2.509 | 35.79 | 24 | 1 0 2 |
| 2.233 | 40.39 | 27 | 0 2 0 |
| 2.090 | 43.28 | 25 | 2 0 0 |
| 1.870 | 48.69 | 26 | 1 0 3 |
| 1.813 | 50.34 | 21 | 2 1 1 |
| 1.621 | 56.80 | 22 | 2 1 2 |

Cell and atoms:
```
data_KNi
_symmetry_space_group_name_H-M 'P m m a'
_symmetry_Int_Tables_number 51
_cell_length_a 4.1807
_cell_length_b 4.4668
_cell_length_c 6.2732
_cell_angle_alpha 90.00
_cell_angle_beta 90.00
_cell_angle_gamma 90.00
loop_
_symmetry_equiv_pos_as_xyz
'x,y,z'
'-x,-y,-z'
'-x+1/2,-y,z'
'x+1/2,y,-z'
'x+1/2,-y,-z'
'-x+1/2,y,z'
'-x,y,-z'
'x,-y,z'
loop_
_atom_site_label
_atom_site_fract_x
_atom_site_fract_y
_atom_site_fract_z
K1 0.2500 0.0000 0.2272
Ni1 0.2500 0.5000 0.5657
```

=====

(3)
For Er3Ga10Ni, a structure optimized by DFT (GGA-PBE) gives the simulated X-ray diffraction stick pattern in this record (Cu Kα X-rays).
Lines closer than 0.1° are merged.

The 10 most intense peaks (10 to 90 degrees two-theta), by angle:
| d_spacing | two_theta | I_rel | hkl |
| --- | --- | --- | --- |
| 2.793 | 32.05 | 43 | 1 0 4 |
| 2.744 | 32.64 | 100 | 1 1 2 |
| 2.544 | 35.28 | 12 | 0 0 6 |
| 2.176 | 41.50 | 29 | 0 1 6 |
| 2.117 | 42.72 | 17 | 1 1 5 |
| 2.107 | 42.92 | 30 | 0 2 0 |
| 2.053 | 44.12 | 28 | 2 0 0 |
| 1.682 | 54.55 | 19 | 1 2 4 |
| 1.493 | 62.17 | 17 | 2 1 6 |
| 1.470 | 63.24 | 19 | 2 2 0 |

Cell and atoms:
```
data_Er3Ga10Ni
_symmetry_space_group_name_H-M 'P m m m'
_symmetry_Int_Tables_number 47
_cell_length_a 4.1052
_cell_length_b 4.2144
_cell_length_c 15.2433
_cell_angle_alpha 90.00
_cell_angle_beta 90.00
_cell_angle_gamma 90.00
loop_
_symmetry_equiv_pos_as_xyz
'x,y,z'
'-x,-y,-z'
'-x,-y,z'
'x,y,-z'
'x,-y,-z'
'-x,y,z'
'-x,y,-z'
'x,-y,z'
loop_
_atom_site_label
_atom_site_fract_x
_atom_site_fract_y
_atom_site_fract_z
Er1 0.0000 0.0000 0.0000
Er2 0.0000 0.5000 0.2488
Ga1 0.0000 0.0000 0.4144
Ga2 0.5000 0.0000 0.1551
Ga3 0.5000 0.0000 0.3116
Ga4 0.5000 0.5000 0.0794
Ga5 0.5000 0.5000 0.4122
Ni1 0.0000 0.5000 0.5000
```

=====

(4)
For Nd3GaBrCl2, a structure optimized by DFT (GGA-PBE) gives the simulated X-ray diffraction stick pattern in this record (Cu Kα X-rays).
Lines closer than 0.1° are merged.

The 10 most intense peaks (10 to 90 degrees two-theta), by angle:
| d_spacing | two_theta | I_rel | hkl |
| --- | --- | --- | --- |
| 5.917 | 14.97 | 22 | 1 0 0 |
| 5.829 | 15.20 | 29 | 0 0 1 |
| 4.152 | 21.40 | 26 | 1 0 1 |
| 3.399 | 26.22 | 27 | 1 1 1 |
| 2.958 | 30.21 | 100 | 2 0 0 |
| 2.914 | 30.68 | 48 | 0 0 2 |
| 2.092 | 43.25 | 37 | 2 2 0 |
| 2.076 | 43.59 | 72 | 2 0 2 |
| 1.699 | 53.95 | 38 | 2 2 2 |
| 1.205 | 79.57 | 24 | 4 2 2 |

Cell and atoms:
```
data_Nd3GaBrCl2
_symmetry_space_group_name_H-M 'P 4/m m m'
_symmetry_Int_Tables_number 123
_symmetry_space_group_name_Hall '-P 4 2'
_cell_length_a 5.9167
_cell_length_b 5.9167
_cell_length_c 5.8288
_cell_angle_alpha 90.00
_cell_angle_beta 90.00
_cell_angle_gamma 90.00
loop_
_atom_site_label
_atom_site_fract_x
_atom_site_fract_y
_atom_site_fract_z
Nd1 0.0000 0.0000 0.0000
Nd2 0.0000 0.5000 0.5000
Ga1 0.0000 0.0000 0.5000
Br1 0.5000 0.5000 0.5000
Cl1 0.0000 0.5000 0.0000
```

=====

(5)
For Cu7Ag2, a structure optimized by DFT (GGA-PBE) gives the simulated X-ray diffraction stick pattern in this record (Cu Kα X-rays).
Lines closer than 0.1° are merged.

The 10 most intense peaks (10 to 90 degrees two-theta), by angle:
| d_spacing | two_theta | I_rel | hkl |
| --- | --- | --- | --- |
| 2.505 | 35.85 | 11 | 0 1 7 |
| 2.165 | 41.71 | 90 | 0 1 9 |
| 2.155 | 41.93 | 100 | 1 1 0 |
| 1.907 | 47.69 | 60 | 1 0 9 |
| 1.804 | 50.61 | 28 | 0 2 0 |
| 1.343 | 70.04 | 10 | 2 0 0 |
| 1.310 | 72.07 | 32 | 1 2 9 |
| 1.146 | 84.52 | 14 | 1 1 18 |
| 1.142 | 84.96 | 20 | 2 1 9 |
| 1.098 | 89.24 | 10 | 1 3 0 |

Cell and atoms:
```
data_Cu7Ag2
_symmetry_space_group_name_H-M 'I m m m'
_symmetry_Int_Tables_number 71
_symmetry_space_group_name_Hall '-I 2 2'
_cell_length_a 2.6868
_cell_length_b 3.6072
_cell_length_c 24.3686
_cell_angle_alpha 90.00
_cell_angle_beta 90.00
_cell_angle_gamma 90.00
loop_
_atom_site_label
_atom_site_fract_x
_atom_site_fract_y
_atom_site_fract_z
Cu1 0.0000 0.0000 0.0000
Cu2 0.0000 0.0000 0.1217
Cu3 0.0000 0.0000 0.2243
Cu4 0.0000 0.0000 0.3276
Ag1 0.0000 0.0000 0.4397
```

=====

(6)
For Rb2PtSeS2, a structure optimized by DFT (GGA-PBE) gives the simulated X-ray diffraction stick pattern in this record (Cu Kα X-rays).
Lines closer than 0.1° are merged.

The 10 most intense peaks (10 to 90 degrees two-theta), by angle:
| d_spacing | two_theta | I_rel | hkl |
| --- | --- | --- | --- |
| 6.154 | 14.39 | 57 | 2 0 -1 |
| 5.916 | 14.98 | 91 | 1 1 0 |
| 5.462 | 16.23 | 62 | 1 1 -1 |
| 3.448 | 25.84 | 100 | 0 2 0 |
| 3.310 | 26.94 | 55 | 3 1 -2 |
| 3.170 | 28.15 | 45 | 4 0 -1 |
| 3.151 | 28.32 | 35 | 2 0 -3 |
| 2.623 | 34.18 | 32 | 2 2 1 |
| 1.819 | 50.14 | 26 | 0 2 4 |
| 1.655 | 55.53 | 28 | 6 2 -4 |

Cell and atoms:
```
data_Rb2PtSeS2
_symmetry_space_group_name_H-M 'C 1 2/m 1'
_symmetry_Int_Tables_number 12
_cell_length_a 12.7479
_cell_length_b 6.8952
_cell_length_c 9.4785
_cell_angle_alpha 90.00
_cell_angle_beta 115.38
_cell_angle_gamma 90.00
loop_
_symmetry_equiv_pos_as_xyz
'x,y,z'
'-x,-y,-z'
'-x,y,-z'
'x,-y,z'
'x+1/2,y+1/2,z'
'-x+1/2,-y+1/2,-z'
'-x+1/2,y+1/2,-z'
'x+1/2,-y+1/2,z'
loop_
_atom_site_label
_atom_site_fract_x
_atom_site_fract_y
_atom_site_fract_z
Rb1 0.0882 0.0000 0.3742
Rb2 0.2006 0.5000 0.8346
Pt1 0.0965 0.5000 0.1494
Se1 0.1042 0.5000 0.4111
S1 0.0000 0.2361 0.0000
S2 0.2067 0.0000 0.7602
```